Record 1
Starting from the GGA-PBE geometry in Alexandria, the powder diffraction line list of NbPbSe was calculated for Cu Kα X-rays.
Neutral-atom scattering factors, no anomalous dispersion.

The 8 most intense peaks (2θ = 15–90°), sorted by position:
- 2θ = 23.53°, I 85
- 2θ = 30.62°, I 100
- 2θ = 32.48°, I 100
- 2θ = 32.59°, I 89
- 2θ = 34.88°, I 76
- 2θ = 35.14°, I 88
- 2θ = 35.50°, I 80
- 2θ = 37.40°, I 74

Cell and atoms:
a b c (Å): 10.404 10.404 12.121
angles (deg): 124.09 124.09 27.96
Fractional positions:
Nb 0.010 0.990 0.500
Nb 0.012 0.938 0.731
Nb 0.391 0.493 0.825
Nb 0.493 0.391 0.325
Nb 0.938 0.012 0.231
Nb 0.990 0.010 0.000
Pb 0.417 0.482 0.078
Pb 0.482 0.417 0.578
Pb 0.485 0.808 0.156
Pb 0.727 0.925 0.788
Pb 0.808 0.485 0.656
Pb 0.925 0.727 0.288
Se 0.041 0.602 0.594
Se 0.288 0.932 0.757
Se 0.358 0.800 0.428
Se 0.602 0.041 0.094
Se 0.800 0.358 0.928
Se 0.932 0.288 0.257


Record 2
Starting from the GGA-PBE geometry in Alexandria, the powder diffraction line list of Ba2LaIn3O8 was calculated for Cu Kα X-rays.
Neutral-atom scattering factors, no anomalous dispersion.

The 8 most intense peaks (2θ = 15–90°), sorted by position:
- 2θ = 25.90°, I 37
- 2θ = 28.62°, I 77
- 2θ = 29.82°, I 100
- 2θ = 30.40°, I 49
- 2θ = 31.58°, I 40
- 2θ = 47.40°, I 42
- 2θ = 50.28°, I 41
- 2θ = 53.26°, I 44

Cell and atoms:
a b c (Å): 7.280 7.280 7.280
angles (deg): 56.40 56.40 56.40
Fractional positions:
Ba 0.000 0.000 0.000
Ba 0.372 0.372 0.372
La 0.770 0.770 0.770
In 0.375 0.375 0.879
In 0.375 0.879 0.375
In 0.879 0.375 0.375
O 0.117 0.117 0.572
O 0.117 0.572 0.117
O 0.143 0.143 0.143
O 0.165 0.631 0.631
O 0.572 0.117 0.117
O 0.610 0.610 0.610
O 0.631 0.165 0.631
O 0.631 0.631 0.165


Record 3
Starting from the GGA-PBE geometry in Alexandria, the powder diffraction line list of Cd2AgPd3 was calculated for Cu Kα X-rays.
Neutral-atom scattering factors, no anomalous dispersion.

The 8 most intense peaks (2θ = 15–90°), sorted by position:
- 2θ = 38.31°, I 100
- 2θ = 41.75°, I 39
- 2θ = 49.73°, I 12
- 2θ = 60.52°, I 12
- 2θ = 66.89°, I 18
- 2θ = 73.93°, I 27
- 2θ = 82.04°, I 10
- 2θ = 85.55°, I 9

Cell and atoms:
a b c (Å): 6.839 6.839 3.667
angles (deg): 90.00 90.00 143.10
Fractional positions:
Cd 0.163 0.837 0.000
Cd 0.837 0.163 0.000
Ag 0.500 0.500 0.000
Pd 0.000 0.000 0.500
Pd 0.331 0.669 0.500
Pd 0.669 0.331 0.500


Record 4
Starting from the GGA-PBE geometry in Alexandria, the powder diffraction line list of K16Cd12Sn was calculated for Cu Kα X-rays.
Neutral-atom scattering factors, no anomalous dispersion.

The 8 most intense peaks (2θ = 15–90°), sorted by position:
- 2θ = 15.75°, I 66
- 2θ = 16.65°, I 51
- 2θ = 28.11°, I 53
- 2θ = 28.71°, I 100
- 2θ = 29.28°, I 58
- 2θ = 29.65°, I 97
- 2θ = 32.43°, I 51
- 2θ = 32.78°, I 62

Cell and atoms:
a b c (Å): 11.113 11.113 11.391
angles (deg): 108.63 108.63 106.41
Fractional positions:
K 0.000 0.000 0.000
K 0.017 0.641 0.985
K 0.019 0.748 0.681
K 0.069 0.069 0.602
K 0.343 0.706 0.285
K 0.344 0.661 0.879
K 0.344 0.924 0.613
K 0.349 0.349 0.295
K 0.360 0.360 0.647
K 0.641 0.017 0.985
K 0.661 0.344 0.879
K 0.684 0.896 0.256
K 0.706 0.343 0.285
K 0.748 0.019 0.681
K 0.896 0.684 0.256
K 0.924 0.344 0.613
Cd 0.022 0.203 0.326
Cd 0.156 0.337 0.952
Cd 0.168 0.530 0.463
Cd 0.203 0.022 0.326
Cd 0.337 0.156 0.952
Cd 0.353 0.999 0.131
Cd 0.489 0.489 0.094
Cd 0.507 0.684 0.628
Cd 0.530 0.168 0.463
Cd 0.662 0.662 0.438
Cd 0.684 0.507 0.628
Cd 0.999 0.353 0.131
Sn 0.685 0.685 0.897


Record 5
Starting from the GGA-PBE geometry in Alexandria, the powder diffraction line list of BaCaC2O6 was calculated for Cu Kα X-rays.
Neutral-atom scattering factors, no anomalous dispersion.

The 8 most intense peaks (2θ = 15–90°), sorted by position:
- 2θ = 20.22°, I 19
- 2θ = 24.78°, I 100
- 2θ = 35.24°, I 38
- 2θ = 35.41°, I 21
- 2θ = 43.70°, I 27
- 2θ = 46.10°, I 23
- 2θ = 48.34°, I 19
- 2θ = 57.45°, I 14

Cell and atoms:
a b c (Å): 8.782 8.782 6.253
angles (deg): 90.00 90.00 120.00
Fractional positions:
Ba 0.000 0.687 0.000
Ba 0.313 0.313 0.000
Ba 0.687 0.000 0.000
Ca 0.000 0.360 0.500
Ca 0.360 0.000 0.500
Ca 0.640 0.640 0.500
C 0.000 0.000 0.266
C 0.000 0.000 0.734
C 0.333 0.667 0.354
C 0.333 0.667 0.813
C 0.667 0.333 0.187
C 0.667 0.333 0.646
O 0.004 0.150 0.741
O 0.146 0.996 0.741
O 0.150 0.004 0.259
O 0.179 0.525 0.816
O 0.189 0.675 0.357
O 0.325 0.515 0.357
O 0.346 0.821 0.816
O 0.475 0.654 0.816
O 0.485 0.811 0.357
O 0.515 0.325 0.643
O 0.525 0.179 0.184
O 0.654 0.475 0.184
O 0.675 0.189 0.643
O 0.811 0.485 0.643
O 0.821 0.346 0.184
O 0.850 0.854 0.741
O 0.854 0.850 0.259
O 0.996 0.146 0.259


Record 6
Starting from the GGA-PBE geometry in Alexandria, the powder diffraction line list of NaGe3Pd2 was calculated for Cu Kα X-rays.
Neutral-atom scattering factors, no anomalous dispersion.

The 8 most intense peaks (2θ = 15–90°), sorted by position:
- 2θ = 16.71°, I 47
- 2θ = 25.68°, I 100
- 2θ = 36.02°, I 36
- 2θ = 40.30°, I 42
- 2θ = 41.03°, I 92
- 2θ = 41.33°, I 56
- 2θ = 46.87°, I 36
- 2θ = 76.48°, I 34

Cell and atoms:
a b c (Å): 8.228 8.228 8.228
angles (deg): 139.43 57.52 141.02
Fractional positions:
Na 0.000 0.000 0.000
Na 0.500 0.500 0.000
Ge 0.036 0.250 0.786
Ge 0.250 0.750 0.500
Ge 0.464 0.250 0.214
Ge 0.536 0.750 0.786
Ge 0.750 0.250 0.500
Ge 0.964 0.750 0.214
Pd 0.141 0.649 0.790
Pd 0.359 0.149 0.508
Pd 0.641 0.851 0.492
Pd 0.859 0.351 0.210